Calculated X-ray diffraction stick pattern of NaScCd5 for Cu Kα (weighted mean of Kα1 and Kα2), from the GGA-PBE geometry in Alexandria.
Kinematic intensities with the Lorentz-polarization factor, no thermal factor.

Atomic structure:
Unit cell a=6.1087 b=9.3552 c=6.1764 alpha=90.00 beta=90.00 gamma=90.00
Space group Cmmm (No. 65)
Inequivalent atoms, fractional coordinates:
Na: 0.0000 0.0000 0.0000
Sc: 0.0000 0.5000 0.5000
Cd: 0.0000 0.0000 0.5000
Cd: 0.2500 0.2500 0.2486

Peak list (6 most intense, 2θ = 5–70°, by angle)
- d = 4.678 Å, 2θ 19.0, rel. 414, (0 2 0)
- d = 2.577 Å, 2θ 34.8, rel. 1000, (0 2 2)
- d = 2.557 Å, 2θ 35.1, rel. 978, (2 2 0)
- d = 2.339 Å, 2θ 38.5, rel. 377, (0 4 0)
- d = 2.172 Å, 2θ 41.6, rel. 601, (2 0 2)
- d = 1.591 Å, 2θ 58.0, rel. 430, (2 4 2)